Entry 1:
For CsRbTlBi, a cell relaxed with GGA-PBE gives the computed XRD peak list in this record (Cu Kα (weighted mean of Kα1 and Kα2)).
Intensities are scaled so that the largest is 100.

Principal peaks in the range 10 to 90 degrees two-theta, sorted by position:
index  Position (°2θ)  intensity
0 1 1  15.63  31.9
1 1 2  27.38  100.0
0 2 0  27.61  31.3
1 0 3  29.07  18.0
2 0 0  36.71  14.8
0 1 5  40.55  23.4
2 2 0  46.54  15.2
1 3 2  48.69  20.9

Cell and atoms:
a = 4.897 Å, b = 6.461 Å, c = 11.832 Å
α = 90.00°, β = 90.00°, γ = 90.00°
Space group Imm2 (No. 44)
Unique sites:
Cs (0.000, 0.000, 0.000) x2
Rb (0.000, 0.500, 0.809) x2
Tl (0.000, 0.500, 0.235) x2
Bi (0.000, 0.000, 0.571) x2


Entry 2:
For CsRb2ZnBi2, a cell relaxed with GGA-PBE gives the computed XRD peak list in this record (Cu Kα (weighted mean of Kα1 and Kα2)).
Intensities are scaled so that the largest is 100.

Principal peaks in the range 10 to 90 degrees two-theta, sorted by position:
index  Position (°2θ)  intensity
1 1 0  10.70  24.7
0 2 0  11.73  45.4
1 2 1  18.81  29.9
1 1 2  25.68  24.0
3 1 0  27.71  35.5
1 4 1  27.87  100.0
2 0 2  29.54  37.5
1 4 3  43.84  33.7

Cell and atoms:
a = 9.886 Å, b = 15.091 Å, c = 7.643 Å
α = 90.00°, β = 90.00°, γ = 90.00°
Space group Ibam (No. 72)
Unique sites:
Cs (0.000, 0.000, 0.250) x4
Rb (0.172, 0.323, 0.000) x8
Zn (0.000, 0.500, 0.250) x4
Bi (0.175, 0.414, 0.500) x8


Entry 3:
For CsBi3Rh, a cell relaxed with GGA-PBE gives the computed XRD peak list in this record (Cu Kα (weighted mean of Kα1 and Kα2)).
Intensities are scaled so that the largest is 100.

Principal peaks in the range 10 to 90 degrees two-theta, sorted by position:
index  Position (°2θ)  intensity
1 0 2  28.50  64.6
0 1 3  29.55  35.8
1 1 2  30.39  74.8
1 2 1  31.57  100.0
0 3 1  32.68  36.9
0 3 2  36.51  48.2
0 2 4  42.87  59.1
2 0 0  44.14  33.9

Cell and atoms:
a = 4.104 Å, b = 8.572 Å, c = 9.690 Å
α = 90.00°, β = 90.00°, γ = 90.00°
Space group Pmmn (No. 59, origin choice 2)
Unique sites:
Cs (0.250, 0.250, 0.067) x2
Bi (0.250, 0.556, 0.626) x4
Bi (0.250, 0.750, 0.278) x2
Rh (0.250, 0.250, 0.520) x2


Entry 4:
For Cs4BiS4, a cell relaxed with GGA-PBE gives the computed XRD peak list in this record (Cu Kα (weighted mean of Kα1 and Kα2)).
Intensities are scaled so that the largest is 100.

Principal peaks in the range 10 to 90 degrees two-theta, sorted by position:
index  Position (°2θ)  intensity
1 0 1  12.39  52.5
0 0 2  12.54  31.6
1 1 2  19.70  53.3
2 0 0  21.47  100.0
1 0 3  21.72  68.5
2 2 0  30.54  63.4
2 1 3  30.73  75.9
2 0 4  33.36  68.6

Cell and atoms:
a = 8.279 Å, b = 8.279 Å, c = 14.117 Å
α = 90.00°, β = 90.00°, γ = 90.00°
Space group I-42m (No. 121)
Unique sites:
Cs (0.000, 0.000, 0.203) x4
Cs (0.000, 0.500, 0.000) x4
Bi (0.000, 0.000, 0.500) x2
S (0.181, 0.181, 0.610) x8


Entry 5:
For CsBi2S3, a cell relaxed with GGA-PBE gives the computed XRD peak list in this record (Cu Kα (weighted mean of Kα1 and Kα2)).
Intensities are scaled so that the largest is 100.

Principal peaks in the range 10 to 90 degrees two-theta, sorted by position:
index  Position (°2θ)  intensity
1 1 0  10.95  53.3
0 2 0  15.94  100.0
2 2 0  22.00  71.8
3 1 0  24.07  92.8
1 3 0  25.19  57.5
0 2 2  30.45  76.1
3 1 2  35.56  72.9
3 3 2  42.55  66.6

Cell and atoms:
a = 11.761 Å, b = 11.121 Å, c = 6.913 Å
α = 90.00°, β = 90.00°, γ = 90.00°
Space group Cmcm (No. 63)
Unique sites:
Cs (0.000, 0.167, 0.250) x4
Bi (0.181, 0.500, 0.000) x8
S (0.000, 0.419, 0.750) x4
S (0.197, 0.132, 0.750) x8


Entry 6:
For CsBi3S5, a cell relaxed with GGA-PBE gives the computed XRD peak list in this record (Cu Kα (weighted mean of Kα1 and Kα2)).
Intensities are scaled so that the largest is 100.

Principal peaks in the range 10 to 90 degrees two-theta, sorted by position:
index  Position (°2θ)  intensity
1 0 5  21.85  55.6
3 0 1  21.96  73.6
1 1 3  25.95  100.0
2 1 2  27.29  68.1
2 1 3  28.85  45.1
2 1 4  30.91  66.5
0 2 0  43.94  39.4
5 1 3  44.54  56.5

Cell and atoms:
a = 12.365 Å, b = 4.121 Å, c = 21.560 Å
α = 90.00°, β = 90.00°, γ = 90.00°
Space group Pnma (No. 62)
Unique sites:
Cs (0.020, 0.250, 0.120) x4
Bi (0.118, 0.250, 0.649) x4
Bi (0.161, 0.250, 0.313) x4
Bi (0.164, 0.750, 0.478) x4
S (0.017, 0.250, 0.417) x4
S (0.034, 0.750, 0.262) x4
S (0.217, 0.250, 0.877) x4
S (0.229, 0.750, 0.036) x4
S (0.232, 0.750, 0.698) x4


Entry 7:
For Cs8Bi2S, a cell relaxed with GGA-PBE gives the computed XRD peak list in this record (Cu Kα (weighted mean of Kα1 and Kα2)).
Intensities are scaled so that the largest is 100.

Principal peaks in the range 10 to 90 degrees two-theta, sorted by position:
index  Position (°2θ)  intensity
4 0 -2  22.22  38.2
3 1 1  23.72  75.3
3 1 -2  24.95  42.6
5 1 0  25.20  80.0
1 1 2  27.23  100.0
0 2 0  27.43  88.9
5 1 -2  27.96  89.1
1 3 2  48.35  24.8

Cell and atoms:
a = 22.509 Å, b = 6.504 Å, c = 8.797 Å
α = 90.00°, β = 110.80°, γ = 90.00°
Space group C2/m (No. 12)
Unique sites:
Cs (0.013, 0.000, 0.283) x4
Cs (0.102, 0.500, 0.901) x4
Cs (0.151, 0.500, 0.441) x4
Cs (0.216, 0.000, 0.778) x4
Bi (0.168, 0.000, 0.173) x4
S (0.000, 0.500, 0.500) x2


Entry 8:
For Cs2SiBiS4, a cell relaxed with GGA-PBE gives the computed XRD peak list in this record (Cu Kα (weighted mean of Kα1 and Kα2)).
Intensities are scaled so that the largest is 100.

Principal peaks in the range 10 to 90 degrees two-theta, sorted by position:
index  Position (°2θ)  intensity
0 0 4  14.10  51.0
1 1 1  14.67  96.9
1 1 5  22.76  58.3
1 3 1  23.43  62.2
0 2 6  24.86  100.0
2 2 0  28.73  92.6
1 3 5  29.27  83.4
2 0 6  33.49  53.3

Cell and atoms:
a = 6.957 Å, b = 13.816 Å, c = 25.127 Å
α = 90.00°, β = 90.00°, γ = 90.00°
Space group Fddd (No. 70, origin choice 2)
Unique sites:
Cs (0.125, 0.125, 0.305) x16
Si (0.125, 0.125, 0.625) x8
Bi (0.125, 0.125, 0.125) x8
S (0.054, 0.284, 0.827) x32


Entry 9:
For Cs2SmBiS4, a cell relaxed with GGA-PBE gives the computed XRD peak list in this record (Cu Kα (weighted mean of Kα1 and Kα2)).
Intensities are scaled so that the largest is 100.

Principal peaks in the range 10 to 90 degrees two-theta, sorted by position:
index  Position (°2θ)  intensity
0 2 2  24.42  43.3
2 0 2  24.75  41.5
2 2 0  28.46  100.0
2 2 4  40.69  48.0
2 4 2  47.85  17.0
4 2 2  48.41  16.0
0 4 4  50.04  12.5
4 4 4  66.69  20.0

Cell and atoms:
a = 8.780 Å, b = 8.958 Å, c = 12.547 Å
α = 90.00°, β = 90.00°, γ = 90.00°
Space group Imma (No. 74)
Unique sites:
Cs (0.000, 0.000, 0.000) x4
Cs (0.250, 0.250, 0.250) x4
Sm (0.250, 0.250, 0.750) x4
Bi (0.000, 0.000, 0.500) x4
S (0.000, 0.043, 0.731) x8
S (0.213, 0.250, 0.522) x8


Entry 10:
For Cs2YBiS4, a cell relaxed with GGA-PBE gives the computed XRD peak list in this record (Cu Kα (weighted mean of Kα1 and Kα2)).
Intensities are scaled so that the largest is 100.

Principal peaks in the range 10 to 90 degrees two-theta, sorted by position:
index  Position (°2θ)  intensity
0 0 4  14.28  62.7
1 1 3  17.52  72.6
0 4 0  23.09  47.5
1 3 3  24.00  97.8
0 2 6  24.44  100.0
2 2 0  27.86  76.9
2 0 6  33.43  59.1
2 4 6  41.02  46.9

Cell and atoms:
a = 7.042 Å, b = 15.405 Å, c = 24.804 Å
α = 90.00°, β = 90.00°, γ = 90.00°
Space group Fddd (No. 70, origin choice 2)
Unique sites:
Cs (0.125, 0.125, 0.307) x16
Y (0.125, 0.125, 0.125) x8
Bi (0.125, 0.125, 0.625) x8
S (0.111, 0.278, 0.428) x32


Entry 11:
For Cs2ZnBi2S5, a cell relaxed with GGA-PBE gives the computed XRD peak list in this record (Cu Kα (weighted mean of Kα1 and Kα2)).
Intensities are scaled so that the largest is 100.

Principal peaks in the range 10 to 90 degrees two-theta, sorted by position:
index  Position (°2θ)  intensity
2 0 0  11.03  87.4
4 0 0  22.16  53.0
2 0 4  22.27  69.6
1 1 3  26.50  75.8
3 1 1  27.62  35.4
3 1 2  28.89  100.0
1 1 6  36.83  35.3
5 1 3  38.36  36.3

Cell and atoms:
a = 16.049 Å, b = 4.154 Å, c = 18.405 Å
α = 90.00°, β = 90.00°, γ = 90.00°
Space group Pnma (No. 62)
Unique sites:
Cs (0.005, 0.250, 0.122) x4
Cs (0.037, 0.750, 0.381) x4
Zn (0.207, 0.250, 0.857) x4
Bi (0.210, 0.750, 0.699) x4
Bi (0.249, 0.750, 0.017) x4
S (0.110, 0.250, 0.758) x4
S (0.135, 0.750, 0.563) x4
S (0.142, 0.250, 0.972) x4
S (0.180, 0.750, 0.149) x4
S (0.214, 0.250, 0.346) x4